Diffraction record for BaSrY4O8. The XRD peak list is simulated, not measured: it uses a cell relaxed with GGA-PBE and λ = 1.5418 Å (Cu Kα).

Structural model:
```
28
Lattice="3.466 0.000 0.000 0.000 12.143 0.000 0.000 0.000 10.341" Properties=species:S:1:pos:R:3 pbc="T T T"
Ba 0.000 1.225 0.000
Ba 0.000 10.918 5.171
Sr 1.733 4.836 5.243
Sr 1.733 7.306 0.073
Y 0.000 1.727 3.404
Y 0.000 4.408 8.585
Y 0.000 7.735 3.414
Y 0.000 10.415 8.575
Y 1.733 1.742 6.969
Y 1.733 4.435 1.864
Y 1.733 7.708 7.035
Y 1.733 10.401 1.798
O 0.000 0.414 7.592
O 0.000 3.327 6.508
O 0.000 4.000 3.430
O 0.000 5.110 0.449
O 0.000 7.033 5.619
O 0.000 8.143 8.600
O 0.000 8.816 1.338
O 0.000 11.729 2.422
O 1.733 1.067 4.788
O 1.733 2.170 1.903
O 1.733 2.847 8.994
O 1.733 5.670 7.961
O 1.733 6.473 2.790
O 1.733 9.296 3.823
O 1.733 9.973 7.073
O 1.733 11.076 9.958
```

Top 8 peaks for 10 to 90 degrees two-theta, in order of rising 2θ:
3.036 Å, 29.42 deg, I = 48; 2.998 Å, 29.81 deg, I = 100; 2.890 Å, 30.94 deg, I = 52; 2.879 Å, 31.06 deg, I = 27; 2.551 Å, 35.18 deg, I = 33; 2.090 Å, 43.29 deg, I = 39; 1.723 Å, 53.15 deg, I = 25; 1.501 Å, 61.83 deg, I = 29

***

Diffraction record for Nb3WSe8. The XRD peak list is simulated, not measured: it uses a cell relaxed with GGA-PBE and λ = 1.5418 Å (Cu Kα).

Structural model:
```
12
Lattice="14.219 -1.720 0.000 14.219 1.720 0.000 -0.479 0.000 5.956" Properties=species:S:1:pos:R:3 pbc="T T T"
Nb 0.000 0.000 0.000
Nb 6.757 0.000 4.401
Nb 13.972 0.000 2.969
W 21.201 0.000 1.550
Se 1.535 0.000 2.124
Se 5.441 0.000 0.386
Se 8.690 0.000 0.651
Se 12.124 0.000 4.834
Se 15.513 0.000 5.095
Se 19.344 0.000 3.308
Se 22.761 0.000 3.582
Se 26.574 0.000 1.850
```

Top 8 peaks for 10 to 90 degrees two-theta, in order of rising 2θ:
7.087 Å, 12.49 deg, I = 100; 2.950 Å, 30.30 deg, I = 26; 2.872 Å, 31.14 deg, I = 23; 2.595 Å, 34.57 deg, I = 27; 2.447 Å, 36.73 deg, I = 38; 2.433 Å, 36.95 deg, I = 20; 2.122 Å, 42.60 deg, I = 30; 1.724 Å, 53.14 deg, I = 22